Calculated PXRD pattern
Compound: CoNi2WO6
Radiation: Cu Kα (λ = 1.5418 Å)
Structure: a crystal structure in Alexandria, relaxed with PBE+U
Peak positions follow from Bragg's law for the DFT cell and can differ from measured ones.

The 12 most intense peaks (10 to 90 degrees two-theta), in order of falling intensity:
two_theta	I_rel	h k l
32.4	100.0	1 0 4
34.7	96.1	1 1 0
23.6	66.8	0 1 2
52.7	63.2	1 1 6
20.8	49.6	1 0 1
48.2	38.0	0 2 4
60.8	34.8	2 1 4
62.3	31.3	3 0 0
39.9	25.3	1 1 3
18.9	21.1	0 0 3
70.1	15.4	1 0 10
85.9	14.2	4 -2 6

Structure:
```
data_CoNi2WO6
_chemical_formula_sum 'Co3 Ni6 W3 O18'
_symmetry_space_group_name_H-M 'R 3'
_symmetry_Int_Tables_number 146
_symmetry_space_group_name_Hall 'R 3'
_cell_length_a 5.1635
_cell_length_b 5.1635
_cell_length_c 14.0804
_cell_angle_alpha 90.00
_cell_angle_beta 90.00
_cell_angle_gamma 120.00
loop_
_atom_site_label
_atom_site_fract_x
_atom_site_fract_y
_atom_site_fract_z
Co1 0.0000 0.0000 0.0000
Ni1 0.0000 0.0000 0.2076
Ni2 0.0000 0.0000 0.7083
W1 0.0000 0.0000 0.5087
O1 0.0001 0.3578 0.7745
O2 0.0043 0.7070 0.6020
```